Entry 1:
For Pu2Mg, a crystal structure in the Materials Project, relaxed with GGA-PBE gives the simulated PXRD pattern in this record (Cu Kα, 1.54184 Å).
Kinematic intensities with the Lorentz-polarization factor, no thermal factor.

The 7 most intense peaks (5 to 70 degrees two-theta), sorted by position:
21.1 deg, I = 1, (1 1 1); 24.4 deg, I = 97, (2 0 0); 34.7 deg, I = 100, (2 2 0); 42.9 deg, I = 30, (2 2 2); 49.9 deg, I = 18, (4 0 0); 56.3 deg, I = 42, (4 2 0); 62.2 deg, I = 38, (4 2 2)

Cell lengths 7.308, 7.308, 7.308 Å; angles 90.00, 90.00, 90.00 degrees
Space group Fm-3m (No. 225)
Asymmetric unit:
Pu 0.250 0.250 0.250 x8
Mg 0.000 0.000 0.000 x4

Entry 2:
For K3DyAs2S8, a crystal structure in the Materials Project, relaxed with GGA-PBE gives the simulated PXRD pattern in this record (Cu Kα, 1.54184 Å).
Kinematic intensities with the Lorentz-polarization factor, no thermal factor.

The 12 most intense peaks (5 to 70 degrees two-theta), sorted by position:
9.3 deg, I = 28, (0 2 0); 11.7 deg, I = 100, (1 1 -1); 19.3 deg, I = 15, (2 2 -1); 22.6 deg, I = 21, (1 3 1); 24.2 deg, I = 11, (0 2 2); 26.7 deg, I = 28, (2 4 0); 28.7 deg, I = 17, (2 4 -2); 29.2 deg, I = 20, (0 4 2); 35.6 deg, I = 22, (2 0 2); 35.8 deg, I = 11, (2 6 -2); 38.4 deg, I = 14, (4 0 0); 40.0 deg, I = 15, (2 0 -4)

Cell lengths 10.586, 18.958, 9.022 Å; angles 90.00, 117.61, 90.00 degrees
Space group C2/c (No. 15)
Asymmetric unit:
K 0.000 0.000 0.000 x4
K 0.000 0.238 0.250 x4
K 0.000 0.496 0.250 x4
Dy 0.000 0.257 0.750 x4
As 0.220 0.377 0.101 x8
S 0.010 0.355 0.524 x8
S 0.176 0.177 0.656 x8
S 0.202 0.174 0.061 x8
S 0.247 0.010 0.874 x8

Entry 3:
For Mn3Cr8CuS16, a crystal structure in the Materials Project, relaxed with GGA-PBE gives the simulated PXRD pattern in this record (Cu Kα, 1.54184 Å).
Kinematic intensities with the Lorentz-polarization factor, no thermal factor.

The 12 most intense peaks (5 to 70 degrees two-theta), sorted by position:
15.3 deg, I = 18, (0 0 6); 25.0 deg, I = 46, (1 1 0); 29.4 deg, I = 100, (2 0 2); 29.5 deg, I = 34, (1 0 10); 35.7 deg, I = 71, (2 0 8); 44.1 deg, I = 12, (3 0 0); 46.9 deg, I = 19, (3 0 6); 47.0 deg, I = 46, (2 1 10); 51.3 deg, I = 62, (2 2 0); 51.5 deg, I = 61, (0 2 16); 60.3 deg, I = 8, (1 3 10); 64.1 deg, I = 10, (0 4 8)

Cell lengths 7.1234, 7.1234, 34.7329 Å; angles 90.00, 90.00, 120.00 degrees
Space group R3m (No. 160, hexagonal axes)
Asymmetric unit:
Mn 0.0000 0.0000 0.0000 x3
Mn 0.0000 0.0000 0.1246 x3
Mn 0.0000 0.0000 0.4999 x3
Cr 0.0000 0.0000 0.3109 x3
Cr 0.0000 0.0000 0.8125 x3
Cr 0.1682 0.3364 0.3949 x9
Cr 0.1686 0.3373 0.8970 x9
Cu 0.0000 0.0000 0.6247 x3
S 0.0000 0.0000 0.1923 x3
S 0.0000 0.0000 0.4315 x3
S 0.0000 0.0000 0.6919 x3
S 0.0000 0.0000 0.9325 x3
S 0.0227 0.5114 0.9359 x9
S 0.0271 0.5136 0.4357 x9
S 0.1800 0.3600 0.0222 x9
S 0.1811 0.3622 0.5227 x9

Entry 4:
For BaCaCeHfO6, a crystal structure in the Materials Project, relaxed with GGA-PBE gives the simulated PXRD pattern in this record (Cu Kα, 1.54184 Å).
Kinematic intensities with the Lorentz-polarization factor, no thermal factor.

The 12 most intense peaks (5 to 70 degrees two-theta), sorted by position:
17.9 deg, I = 10, (1 1 1); 20.7 deg, I = 18, (2 0 0); 29.4 deg, I = 100, (2 2 0); 34.6 deg, I = 6, (3 1 1); 42.0 deg, I = 31, (4 0 0); 46.0 deg, I = 3, (3 3 1); 47.3 deg, I = 8, (4 2 0); 52.1 deg, I = 41, (4 2 2); 55.5 deg, I = 2, (5 1 1); 61.0 deg, I = 19, (4 4 0); 65.1 deg, I = 4, (6 0 0); 69.1 deg, I = 18, (6 2 0)

Cell lengths 8.597, 8.597, 8.597 Å; angles 90.00, 90.00, 90.00 degrees
Space group F-43m (No. 216)
Asymmetric unit:
Ba 0.000 0.000 0.000 x4
Ca 0.000 0.000 0.500 x4
Ce 0.250 0.250 0.750 x4
Hf 0.250 0.250 0.250 x4
O 0.009 0.250 0.250 x24

Entry 5:
For AlTlSi3O8, a crystal structure in the Materials Project, relaxed with GGA-PBE gives the simulated PXRD pattern in this record (Cu Kα, 1.54184 Å).
Kinematic intensities with the Lorentz-polarization factor, no thermal factor.

The 12 most intense peaks (5 to 70 degrees two-theta), sorted by position:
13.5 deg, I = 100, (0 1 -1); 22.1 deg, I = 68, (0 1 1); 23.8 deg, I = 77, (1 0 -2); 25.0 deg, I = 62, (2 0 -1); 25.3 deg, I = 59, (2 -1 0); 25.6 deg, I = 63, (0 0 2); 26.4 deg, I = 58, (0 2 0); 27.1 deg, I = 39, (2 0 0); 29.2 deg, I = 47, (1 -1 2); 29.5 deg, I = 48, (1 2 -1); 33.3 deg, I = 57, (-2 2 1); 34.4 deg, I = 43, (2 0 1)

Cell lengths 7.364, 7.782, 8.116 Å; angles 111.10, 105.81, 103.46 degrees
Space group P-1 (No. 2)
Asymmetric unit:
Al 0.218 0.315 0.202 x2
Tl 0.155 0.796 0.292 x2
Si 0.228 0.701 0.822 x2
Si 0.339 0.104 0.847 x2
Si 0.347 0.340 0.605 x2
O 0.017 0.653 0.851 x2
O 0.220 0.163 0.984 x2
O 0.233 0.495 0.675 x2
O 0.254 0.222 0.372 x2
O 0.267 0.860 0.734 x2
O 0.282 0.168 0.674 x2
O 0.409 0.549 0.298 x2
O 0.412 0.798 0.037 x2

Entry 6:
For Fe2B, a crystal structure in the Materials Project, relaxed with GGA-PBE gives the simulated PXRD pattern in this record (Cu Kα, 1.54184 Å).
Kinematic intensities with the Lorentz-polarization factor, no thermal factor.

The 6 most intense peaks (5 to 70 degrees two-theta), sorted by position:
25.5 deg, I = 2, (1 0 0); 35.8 deg, I = 52, (0 0 1); 36.4 deg, I = 100, (1 1 0); 52.0 deg, I = 86, (1 1 1); 52.4 deg, I = 42, (2 0 0); 65.1 deg, I = 32, (2 0 1)

Cell lengths 3.494, 3.494, 2.507 Å; angles 90.00, 90.00, 90.00 degrees
Space group P4/mmm (No. 123)
Asymmetric unit:
Fe 0.000 0.500 0.000 x2
B 0.000 0.000 0.500 x1

Entry 7:
For BaAuO2, a crystal structure in the Materials Project, relaxed with GGA-PBE gives the simulated PXRD pattern in this record (Cu Kα, 1.54184 Å).
Kinematic intensities with the Lorentz-polarization factor, no thermal factor.

The 12 most intense peaks (5 to 70 degrees two-theta), sorted by position:
20.5 deg, I = 5, (1 0 0); 23.6 deg, I = 5, (0 0 1); 29.1 deg, I = 49, (1 1 0); 31.4 deg, I = 100, (1 0 1); 41.6 deg, I = 28, (2 0 0); 48.3 deg, I = 12, (0 0 2); 53.1 deg, I = 47, (2 1 1); 57.4 deg, I = 15, (1 1 2); 60.3 deg, I = 9, (2 2 0); 65.6 deg, I = 15, (2 0 2); 68.3 deg, I = 9, (3 1 0); 69.6 deg, I = 11, (3 0 1)

Cell lengths 4.341, 4.341, 3.767 Å; angles 90.00, 90.00, 90.00 degrees
Space group P4/mmm (No. 123)
Asymmetric unit:
Ba 0.000 0.000 0.000 x1
Au 0.500 0.500 0.500 x1
O 0.000 0.500 0.500 x2